(1)
Simulated XRD peak list of Na10B13C7 for a wavelength of 1.5418 Å, from a crystal structure in Alexandria, relaxed with GGA-PBE.
Peak positions follow from Bragg's law for the DFT cell and can differ from measured ones.

Atomic structure:
```
Na10B13C7
1.0
5.015 0.000 0.000
0.000 8.521 0.000
-2.507 0.000 7.167
Na B C
10 13 7
direct
0.000 0.247 0.000
0.000 0.753 0.000
0.198 0.249 0.400
0.198 0.751 0.400
0.399 0.247 0.799
0.399 0.753 0.799
0.598 0.249 0.197
0.598 0.751 0.197
0.799 0.249 0.599
0.799 0.751 0.599
0.066 0.000 0.799
0.079 0.500 0.801
0.129 0.000 0.587
0.251 0.500 0.190
0.340 0.000 0.010
0.444 0.500 0.599
0.532 0.000 0.399
0.537 0.500 0.398
0.660 0.500 0.008
0.714 0.000 0.799
0.738 0.500 0.800
0.877 0.500 0.398
0.932 0.000 0.198
0.135 0.500 0.599
0.273 0.000 0.204
0.334 0.500 0.999
0.464 0.000 0.596
0.667 0.000 0.001
0.867 0.000 0.393
0.933 0.500 0.199
```

Top 10 peaks for 5 to 70 degrees two-theta, in order of rising 2θ:
- 2θ 35.8, I = 9.3
- 2θ 36.1, I = 17.9
- 2θ 41.8, I = 50.6
- 2θ 42.0, I = 100.0
- 2θ 42.4, I = 38.0
- 2θ 56.7, I = 5.1
- 2θ 56.9, I = 9.9
- 2θ 64.5, I = 17.5
- 2θ 65.1, I = 8.5
- 2θ 68.6, I = 1.6

=====

(2)
Simulated XRD peak list of Na5B8C2 for a wavelength of 1.5418 Å, from a crystal structure in Alexandria, relaxed with GGA-PBE.
Peak positions follow from Bragg's law for the DFT cell and can differ from measured ones.

Atomic structure:
```
Na5B8C2
1.0
11.704 -1.411 0.000
11.704 1.411 0.000
-2.795 0.000 9.747
Na B C
10 16 4
direct
0.000 0.000 0.000
0.101 0.101 0.699
0.200 0.200 0.402
0.300 0.300 0.100
0.398 0.398 0.799
0.500 0.500 0.500
0.602 0.602 0.201
0.700 0.700 0.900
0.800 0.800 0.598
0.899 0.899 0.301
0.025 0.025 0.300
0.123 0.123 0.995
0.188 0.188 0.126
0.221 0.221 0.691
0.319 0.319 0.389
0.385 0.385 0.520
0.419 0.419 0.090
0.482 0.482 0.216
0.518 0.518 0.784
0.581 0.581 0.910
0.615 0.615 0.480
0.681 0.681 0.611
0.779 0.779 0.309
0.812 0.812 0.874
0.877 0.877 0.005
0.975 0.975 0.700
0.084 0.084 0.416
0.281 0.281 0.812
0.719 0.719 0.188
0.916 0.916 0.584
```

Top 10 peaks for 5 to 70 degrees two-theta, in order of rising 2θ:
- 2θ 33.9, I = 9.8
- 2θ 36.1, I = 11.8
- 2θ 40.0, I = 17.8
- 2θ 40.1, I = 17.6
- 2θ 41.9, I = 100.0
- 2θ 54.8, I = 2.5
- 2θ 55.0, I = 2.4
- 2θ 56.4, I = 6.8
- 2θ 62.1, I = 13.0
- 2θ 66.2, I = 6.4

=====

(3)
Simulated XRD peak list of Na5B8C2 for a wavelength of 1.5418 Å, from a crystal structure in Alexandria, relaxed with GGA-PBE.
Peak positions follow from Bragg's law for the DFT cell and can differ from measured ones.

Atomic structure:
```
Na5B8C2
1.0
5.092 0.000 0.000
2.541 7.332 0.000
0.001 2.925 8.631
Na B C
10 16 4
direct
0.000 0.000 0.000
0.096 0.800 0.496
0.196 0.599 0.001
0.300 0.400 0.498
0.400 0.199 0.000
0.496 0.001 0.497
0.597 0.800 0.001
0.696 0.603 0.496
0.798 0.398 0.003
0.899 0.203 0.495
0.030 0.297 0.749
0.057 0.518 0.749
0.127 0.099 0.249
0.204 0.904 0.749
0.292 0.092 0.749
0.298 0.710 0.249
0.406 0.498 0.748
0.487 0.700 0.749
0.493 0.300 0.248
0.583 0.503 0.248
0.628 0.104 0.749
0.683 0.309 0.749
0.708 0.891 0.249
0.786 0.098 0.250
0.875 0.882 0.749
0.925 0.502 0.248
0.185 0.301 0.248
0.382 0.900 0.249
0.802 0.700 0.749
0.982 0.700 0.249
```

Top 10 peaks for 5 to 70 degrees two-theta, in order of rising 2θ:
- 2θ 20.6, I = 2.2
- 2θ 35.3, I = 28.8
- 2θ 41.2, I = 49.1
- 2θ 41.2, I = 100.0
- 2θ 41.9, I = 36.7
- 2θ 55.9, I = 15.7
- 2θ 63.3, I = 17.3
- 2θ 63.4, I = 8.6
- 2θ 67.3, I = 1.9
- 2θ 67.5, I = 0.9

=====

(4)
Simulated XRD peak list of Na5B8C2 for a wavelength of 1.5418 Å, from a crystal structure in Alexandria, relaxed with GGA-PBE.
Peak positions follow from Bragg's law for the DFT cell and can differ from measured ones.

Atomic structure:
```
Na5B8C2
1.0
1.407 -13.232 0.000
1.407 13.232 0.000
0.000 0.000 8.656
Na B C
10 16 4
direct
0.000 0.000 0.000
0.000 0.000 0.500
0.200 0.800 0.501
0.200 0.800 0.999
0.401 0.599 0.003
0.401 0.599 0.497
0.599 0.401 0.503
0.599 0.401 0.997
0.800 0.200 0.001
0.800 0.200 0.499
0.071 0.929 0.750
0.125 0.875 0.250
0.270 0.730 0.750
0.273 0.727 0.250
0.333 0.667 0.750
0.338 0.662 0.250
0.465 0.535 0.750
0.469 0.531 0.250
0.531 0.469 0.750
0.535 0.465 0.250
0.662 0.338 0.750
0.667 0.333 0.250
0.727 0.273 0.750
0.730 0.270 0.250
0.875 0.125 0.750
0.929 0.071 0.250
0.066 0.934 0.250
0.131 0.869 0.750
0.869 0.131 0.250
0.934 0.066 0.750
```

Top 10 peaks for 5 to 70 degrees two-theta, in order of rising 2θ:
- 2θ 33.9, I = 13.6
- 2θ 36.2, I = 16.3
- 2θ 39.9, I = 49.3
- 2θ 41.7, I = 37.5
- 2θ 41.9, I = 100.0
- 2θ 54.8, I = 6.8
- 2θ 56.4, I = 9.4
- 2θ 62.1, I = 18.0
- 2θ 66.1, I = 2.3
- 2θ 66.5, I = 7.6

=====

(5)
Simulated XRD peak list of Na5B8C2 for a wavelength of 1.5418 Å, from a crystal structure in Alexandria, relaxed with GGA-PBE.
Peak positions follow from Bragg's law for the DFT cell and can differ from measured ones.

Atomic structure:
```
Na5B8C2
1.0
8.664 0.000 0.000
0.000 1.413 13.174
0.000 -1.413 13.174
Na B C
10 16 4
direct
0.249 0.000 0.000
0.249 0.201 0.201
0.250 0.400 0.400
0.250 0.601 0.601
0.250 0.801 0.801
0.750 0.400 0.400
0.750 0.601 0.601
0.750 0.801 0.801
0.751 0.000 0.000
0.751 0.201 0.201
0.000 0.073 0.073
0.000 0.138 0.138
0.000 0.266 0.266
0.000 0.328 0.328
0.000 0.471 0.471
0.000 0.535 0.535
0.000 0.726 0.726
0.000 0.869 0.869
0.000 0.932 0.932
0.500 0.070 0.070
0.500 0.135 0.135
0.500 0.271 0.271
0.500 0.458 0.458
0.500 0.527 0.527
0.500 0.679 0.679
0.500 0.864 0.864
0.000 0.667 0.667
0.500 0.333 0.333
0.500 0.739 0.739
0.500 0.927 0.927
```

Top 10 peaks for 5 to 70 degrees two-theta, in order of rising 2θ:
- 2θ 34.0, I = 13.2
- 2θ 36.1, I = 16.9
- 2θ 40.1, I = 49.5
- 2θ 41.7, I = 37.8
- 2θ 41.8, I = 100.0
- 2θ 54.9, I = 6.7
- 2θ 56.3, I = 9.7
- 2θ 62.2, I = 17.4
- 2θ 66.2, I = 7.7
- 2θ 66.3, I = 2.6

=====

(6)
Simulated XRD peak list of Na5B9C for a wavelength of 1.5418 Å, from a crystal structure in Alexandria, relaxed with GGA-PBE.
Peak positions follow from Bragg's law for the DFT cell and can differ from measured ones.

Atomic structure:
```
Na5B9C
1.0
7.473 -2.591 0.000
7.473 2.591 0.000
-5.989 0.000 8.643
Na B C
10 18 2
direct
0.000 0.000 0.249
0.000 0.000 0.751
0.200 0.200 0.250
0.201 0.200 0.751
0.400 0.399 0.249
0.401 0.397 0.747
0.601 0.600 0.751
0.603 0.599 0.253
0.800 0.799 0.249
0.800 0.800 0.750
0.020 0.368 0.000
0.030 0.370 0.500
0.158 0.842 0.000
0.172 0.828 0.500
0.230 0.570 0.500
0.266 0.540 0.000
0.360 0.039 0.000
0.371 0.028 0.500
0.430 0.770 0.500
0.460 0.734 0.000
0.572 0.228 0.500
0.630 0.970 0.500
0.632 0.980 0.000
0.772 0.428 0.500
0.825 0.175 0.000
0.830 0.170 0.500
0.961 0.640 0.000
0.972 0.629 0.500
0.569 0.237 0.000
0.763 0.431 0.000
```

Top 7 peaks for 5 to 70 degrees two-theta, in order of rising 2θ:
- 2θ 20.6, I = 1.8
- 2θ 34.6, I = 20.1
- 2θ 40.6, I = 100.0
- 2θ 41.8, I = 23.4
- 2θ 55.4, I = 10.7
- 2θ 62.1, I = 17.8
- 2θ 66.1, I = 2.0

=====

(7)
Simulated XRD peak list of Na10B17C3 for a wavelength of 1.5418 Å, from a crystal structure in Alexandria, relaxed with GGA-PBE.
Peak positions follow from Bragg's law for the DFT cell and can differ from measured ones.

Atomic structure:
```
Na10B17C3
1.0
8.696 0.000 0.000
0.000 1.409 13.374
0.000 -1.409 13.374
Na B C
10 17 3
direct
0.246 0.000 0.000
0.250 0.199 0.199
0.250 0.599 0.599
0.251 0.800 0.800
0.252 0.401 0.401
0.748 0.401 0.401
0.749 0.800 0.800
0.750 0.199 0.199
0.750 0.599 0.599
0.754 0.000 0.000
0.000 0.071 0.071
0.000 0.270 0.270
0.000 0.333 0.333
0.000 0.465 0.465
0.000 0.531 0.531
0.000 0.662 0.662
0.000 0.728 0.728
0.000 0.876 0.876
0.500 0.065 0.065
0.500 0.127 0.127
0.500 0.271 0.271
0.500 0.334 0.334
0.500 0.526 0.526
0.500 0.668 0.668
0.500 0.731 0.731
0.500 0.872 0.872
0.500 0.938 0.938
0.000 0.131 0.131
0.000 0.934 0.934
0.500 0.467 0.467
```

Top 10 peaks for 5 to 70 degrees two-theta, in order of rising 2θ:
- 2θ 20.4, I = 2.5
- 2θ 33.5, I = 14.2
- 2θ 36.0, I = 16.5
- 2θ 39.6, I = 49.8
- 2θ 41.5, I = 37.4
- 2θ 41.8, I = 100.0
- 2θ 54.4, I = 7.0
- 2θ 56.1, I = 9.5
- 2θ 61.5, I = 18.3
- 2θ 66.3, I = 7.5

=====

(8)
Simulated XRD peak list of Na5B9C for a wavelength of 1.5418 Å, from a crystal structure in Alexandria, relaxed with GGA-PBE.
Peak positions follow from Bragg's law for the DFT cell and can differ from measured ones.

Atomic structure:
```
Na5B9C
1.0
9.149 -1.402 0.000
9.149 1.402 0.000
-5.142 0.000 12.982
Na B C
10 18 2
direct
0.000 0.000 0.000
0.000 0.000 0.500
0.199 0.199 0.398
0.201 0.201 0.901
0.400 0.400 0.298
0.400 0.400 0.802
0.600 0.600 0.198
0.600 0.600 0.702
0.799 0.799 0.099
0.801 0.801 0.602
0.028 0.028 0.304
0.033 0.033 0.819
0.163 0.163 0.074
0.171 0.171 0.593
0.227 0.227 0.202
0.233 0.233 0.718
0.370 0.370 0.490
0.426 0.426 0.100
0.431 0.431 0.613
0.569 0.569 0.387
0.574 0.574 0.900
0.630 0.630 0.510
0.767 0.767 0.282
0.773 0.773 0.798
0.829 0.829 0.407
0.837 0.837 0.926
0.967 0.967 0.181
0.972 0.972 0.696
0.368 0.368 0.986
0.632 0.632 0.014
```

Top 10 peaks for 5 to 70 degrees two-theta, in order of rising 2θ:
- 2θ 33.0, I = 31.2
- 2θ 36.0, I = 32.2
- 2θ 39.0, I = 98.6
- 2θ 41.3, I = 74.5
- 2θ 41.7, I = 100.0
- 2θ 41.7, I = 99.9
- 2θ 53.8, I = 7.7
- 2θ 56.0, I = 18.8
- 2θ 60.9, I = 36.9
- 2θ 66.7, I = 14.5

=====

(9)
Simulated XRD peak list of Na5B8C2 for a wavelength of 1.5418 Å, from a crystal structure in Alexandria, relaxed with GGA-PBE.
Peak positions follow from Bragg's law for the DFT cell and can differ from measured ones.

Atomic structure:
```
Na5B8C2
1.0
11.697 -1.416 0.000
11.697 1.416 0.000
-2.856 0.000 9.734
Na B C
10 16 4
direct
0.000 0.000 0.000
0.098 0.098 0.698
0.199 0.199 0.402
0.299 0.299 0.104
0.398 0.398 0.801
0.500 0.500 0.500
0.599 0.599 0.203
0.698 0.698 0.899
0.797 0.797 0.600
0.899 0.899 0.306
0.019 0.019 0.293
0.117 0.117 0.989
0.180 0.180 0.115
0.207 0.207 0.667
0.275 0.275 0.802
0.320 0.320 0.396
0.386 0.386 0.526
0.427 0.427 0.110
0.514 0.514 0.780
0.577 0.577 0.906
0.613 0.613 0.479
0.719 0.719 0.195
0.783 0.783 0.322
0.819 0.819 0.892
0.883 0.883 0.020
0.975 0.975 0.701
0.081 0.081 0.416
0.487 0.487 0.229
0.675 0.675 0.604
0.916 0.916 0.583
```

Top 10 peaks for 5 to 70 degrees two-theta, in order of rising 2θ:
- 2θ 34.1, I = 13.2
- 2θ 36.0, I = 16.7
- 2θ 40.1, I = 24.4
- 2θ 40.2, I = 24.2
- 2θ 41.7, I = 37.5
- 2θ 41.8, I = 100.0
- 2θ 54.9, I = 3.4
- 2θ 56.3, I = 9.7
- 2θ 62.3, I = 17.2
- 2θ 66.0, I = 7.7